[1]
# Fe5CoP6O24
Theoretical powder diffraction line list, a wavelength of 1.5418 Å. Input: a structure optimized by DFT (PBE+U).

Top 10 peaks for 5 to 70 degrees two-theta, sorted by position:
d (Å)	2θ (°)	intensity
4.301	20.65	95
3.624	24.56	100
2.789	32.10	16
2.651	33.82	73
2.483	36.17	43
1.879	48.43	31
1.812	50.35	28
1.626	56.62	26
1.599	57.66	16
1.464	63.56	23

Structural model:
```
36
Lattice="4.3009 2.4831 6.7312 -4.3009 2.4831 6.7312 0.0000 -4.9663 6.7312" Properties=species:S:1:pos:R:3 pbc="T T T"
Fe 0.0000 0.0000 0.0000
Fe 0.0000 0.0000 2.9024
Fe 0.0000 0.0000 7.1021
Fe 0.0000 0.0000 10.0468
Fe 0.0000 0.0000 13.0124
Co 0.0000 0.0000 17.3354
P -1.7979 -2.4688 8.4190
P -3.0299 0.2433 11.7117
P -1.2391 2.7915 8.4190
P 1.3043 -2.7456 11.7117
P 3.0370 -0.3226 8.4190
P 1.7256 2.5023 11.7117
O -2.6307 -2.4991 9.6834
O -0.8573 -3.7222 8.1692
O -3.6580 -1.1941 11.9282
O -1.7386 -0.0216 6.2525
O -3.5185 0.9517 10.4674
O -0.8204 -1.2454 8.6194
O -2.7949 2.6036 8.1692
O 0.8880 -1.4948 6.2525
O 0.9351 -3.5230 10.4674
O -1.4905 0.0457 11.5067
O -0.6683 1.3332 8.6194
O -0.7543 -1.5232 13.8671
O 0.8506 1.5164 6.2525
O 0.7057 -1.3137 11.5067
O 1.4887 -0.0878 8.6194
O -0.8490 3.5278 9.6834
O -0.9420 1.4149 13.8671
O 0.7848 1.2680 11.5067
O 2.8631 -2.5709 11.9282
O 3.4796 -1.0287 9.6834
O 1.6963 0.1084 13.8671
O 3.6522 1.1186 8.1692
O 0.7949 3.7650 11.9282
O 2.5834 2.5713 10.4674
```

---

[2]
# MgVCrO4
Theoretical powder diffraction line list, a wavelength of 1.5418 Å. Input: a structure optimized by DFT (PBE+U).

Top 10 peaks for 5 to 70 degrees two-theta, sorted by position:
d (Å)	2θ (°)	intensity
4.922	18.02	100
2.574	34.86	76
2.567	34.95	73
2.461	36.51	15
2.137	42.29	29
2.129	42.47	58
1.645	55.91	19
1.640	56.09	21
1.638	56.15	18
1.508	61.49	74

Structural model:
```
14
Lattice="5.2269 -3.0061 0.0000 5.2269 3.0061 0.0000 -3.4702 0.0000 4.9301" Properties=species:S:1:pos:R:3 pbc="T T T"
Mg 0.0125 0.0000 1.8551
Mg 6.9711 0.0000 3.0750
V 2.6135 1.5031 0.0000
V 2.6135 -1.5031 0.0000
Cr 5.2269 0.0000 0.0000
Cr 3.4918 0.0000 2.4651
O 1.8953 0.0000 1.1887
O 0.0309 0.0000 3.8466
O 4.2991 1.3711 1.1930
O 2.6845 1.3711 3.7371
O 4.2991 -1.3711 1.1930
O 2.6845 -1.3711 3.7371
O 6.9528 0.0000 1.0836
O 5.0883 0.0000 3.7415
```

---

[3]
# CaMn2P4O14
Theoretical powder diffraction line list, a wavelength of 1.5418 Å. Input: a structure optimized by DFT (PBE+U).

Top 10 peaks for 5 to 70 degrees two-theta, sorted by position:
d (Å)	2θ (°)	intensity
9.089	9.73	54
5.822	15.22	25
5.603	15.82	33
4.413	20.12	33
4.002	22.21	29
3.739	23.80	100
3.027	29.51	74
2.911	30.71	57
2.882	31.03	28
2.510	35.77	22

Structural model:
```
21
Lattice="5.1644 0.0000 0.0000 -1.5917 6.0261 0.0000 -1.3660 -2.4276 9.0893" Properties=species:S:1:pos:R:3 pbc="T T T"
Ca 0.0000 0.0000 0.0000
Mn 1.1274 2.1534 3.0799
Mn 2.2871 4.3985 5.4742
P -1.3500 1.5779 5.3274
P -0.3488 4.9567 3.3010
P -0.3562 3.4332 7.4326
P 3.6950 3.0543 1.1141
O -0.3828 1.9989 1.3541
O -1.0362 4.4431 1.9573
O 0.2496 -1.1129 4.4369
O -0.3362 1.6540 4.2053
O -0.0084 -1.7382 7.1913
O -0.6466 2.0139 6.6888
O 1.7288 0.3282 2.9244
O -0.1697 3.1854 8.9141
O 0.8841 4.0604 3.5936
O 2.3375 2.6655 1.7099
O 0.9773 3.9501 6.8657
O 2.5912 2.4962 5.0353
O 2.2157 1.2156 8.8275
O 3.2628 0.1790 5.5736
```

---

[4]
# KScW2O8
Theoretical powder diffraction line list, a wavelength of 1.5418 Å. Input: a structure optimized by DFT (PBE+U).

Top 10 peaks for 5 to 70 degrees two-theta, sorted by position:
d (Å)	2θ (°)	intensity
6.457	13.71	43
5.119	17.32	98
4.161	21.36	32
3.683	24.16	46
3.229	27.63	97
2.990	29.88	100
2.781	32.19	29
2.677	33.47	33
2.151	42.00	36
1.869	48.72	39

Structural model:
```
24
Lattice="5.5116 -5.1194 0.0000 5.5116 5.1194 0.0000 -4.8322 0.0000 5.5614" Properties=species:S:1:pos:R:3 pbc="T T T"
K 1.8875 2.9915 4.1711
K 4.3036 -2.9915 1.3904
Sc 4.3036 2.8563 1.3904
Sc 1.8875 -2.8563 4.1711
W 1.8886 0.0493 1.6574
W -0.5275 -0.0493 4.4381
W 6.7186 0.0493 1.1233
W 4.3025 -0.0493 3.9040
O -1.8463 1.1300 3.9382
O 1.5341 1.4947 0.5785
O 0.7238 0.6950 3.1264
O 0.5698 -1.1300 1.1575
O -0.8820 -1.4947 3.3592
O 5.1729 1.1882 0.2863
O 3.1399 -0.6950 0.3457
O 3.4342 1.1882 2.4944
O 2.7568 -1.1882 3.0671
O 3.0512 0.6950 5.2158
O 1.0182 -1.1882 5.2751
O 7.0730 1.4947 2.2022
O 5.6213 1.1300 4.4040
O 5.4673 -0.6950 2.4351
O 4.6569 -1.4947 4.9830
O 8.0374 -1.1300 1.6232
```

---

[5]
# Li2NiO2F
Theoretical powder diffraction line list, a wavelength of 1.5418 Å. Input: a structure optimized by DFT (PBE+U).

Top 10 peaks for 5 to 70 degrees two-theta, sorted by position:
d (Å)	2θ (°)	intensity
14.276	6.19	100
7.138	12.40	30
4.759	18.65	55
3.569	24.95	7
2.516	35.68	10
2.458	36.55	10
2.427	37.05	7
2.095	43.18	22
2.042	44.36	21
2.014	45.02	19

Structural model:
```
24
Lattice="2.8449 0.0000 0.0000 1.3921 2.5464 0.0000 0.2484 0.6491 28.5525" Properties=species:S:1:pos:R:3 pbc="T T T"
Li 0.0000 0.0000 0.0000
Li 0.1881 0.4885 21.4227
Li 1.5227 2.8652 14.2968
Li 1.4271 0.8880 2.3435
Li 1.5534 1.2133 16.6362
Li 3.0588 2.3082 26.2110
Li 2.9534 1.9681 11.9552
Li 2.8935 0.1800 7.1429
Ni 1.6231 1.3982 23.8131
Ni 1.5026 1.0774 9.5469
Ni 2.8594 1.8074 4.7451
Ni 2.9888 2.1263 19.0317
O 1.4298 2.5217 3.6678
O 1.5563 2.8439 17.9562
O 1.5932 2.7444 10.6228
O 1.4433 1.0933 5.8242
O 1.5784 1.4089 20.1083
O 2.8051 1.9591 8.4695
O 3.0344 2.1157 22.7362
O 3.0563 0.6805 24.8885
F 1.6517 1.4874 27.3801
F 1.5453 1.1393 13.1240
F 2.8340 1.7083 1.1723
F 2.9617 2.0300 15.4674
```

---

[6]
# Li4Al3Cr3Sb2O16
Theoretical powder diffraction line list, a wavelength of 1.5418 Å. Input: a structure optimized by DFT (PBE+U).

Top 10 peaks for 5 to 70 degrees two-theta, sorted by position:
d (Å)	2θ (°)	intensity
4.495	19.75	72
4.473	19.85	100
3.495	25.49	29
3.473	25.65	25
2.711	33.05	35
2.695	33.24	24
2.510	35.77	24
2.494	36.01	53
2.451	36.66	25
1.466	63.43	23

Structural model:
```
28
Lattice="5.0847 -2.9245 0.0000 5.0847 2.9245 0.0000 -0.0900 0.0000 9.5797" Properties=species:S:1:pos:R:3 pbc="T T T"
Li 0.0000 0.0000 0.0000
Li -0.0420 0.0000 4.7548
Li 3.3699 0.0000 5.5408
Li 6.8119 0.0000 0.7770
Al 4.2256 1.4292 2.6009
Al 4.2256 -1.4292 2.6009
Al 8.3905 0.0000 7.3874
Cr 1.7340 0.0000 2.6083
Cr 5.9061 1.4408 7.3980
Cr 5.9061 -1.4408 7.3980
Sb 3.4324 0.0000 0.0025
Sb 6.7660 0.0000 4.7652
O 2.6825 1.3202 1.3940
O 4.1548 1.4955 8.5061
O 1.6004 0.0000 8.5736
O 5.8662 1.4692 3.7133
O 3.4769 0.0000 3.5625
O 4.9304 0.0000 1.3962
O 2.6825 -1.3202 1.3940
O 5.2317 0.0000 6.1469
O 7.5231 1.3039 6.1651
O 4.1548 -1.4955 8.5061
O 6.8257 0.0000 8.3820
O 5.8662 -1.4692 3.7133
O 8.4655 0.0000 3.6836
O 7.5231 -1.3039 6.1651
O 10.0178 0.0000 6.5365
O 10.0851 0.0000 1.8009
```